No. 1
Structure and calculated powder XRD pattern of Rb2TlCoBr6 (a DFT-relaxed cell (PBE, Alexandria); CuKα).
Neutral-atom scattering factors, no anomalous dispersion.

Structure:
```
data_Rb2TlCoBr6
_cell_length_a 7.776
_cell_length_b 7.828
_cell_length_c 13.493
_cell_angle_alpha 90.00
_cell_angle_beta 124.94
_cell_angle_gamma 90.00
_symmetry_space_group_name_H-M 'P 1 21/c 1'
_symmetry_Int_Tables_number 14
loop_
_symmetry_equiv_pos_as_xyz
'x,y,z'
'-x,-y,-z'
'-x,y+1/2,-z+1/2'
'x,-y+1/2,z+1/2'
loop_
_atom_site_label
_atom_site_type_symbol
_atom_site_fract_x
_atom_site_fract_y
_atom_site_fract_z
_atom_site_occupancy
Rb1 Rb 0.238 0.045 0.248 1
Tl1 Tl 0.500 0.000 0.000 1
Co1 Co 0.000 0.000 0.500 1
Br1 Br 0.153 0.245 0.974 1
Br2 Br 0.222 0.681 0.970 1
Br3 Br 0.272 0.001 0.718 1
```

Peak list (10 most intense, 2θ from 10° to 90°, in order of rising 2θ)
(hkl)	d [Å]	2θ (°)	intensity
1 1 -1	5.521	16.05	58
0 2 0	3.908	22.76	57
1 0 -4	3.329	26.78	49
0 2 2	3.192	27.95	21
0 0 4	2.761	32.43	100
1 2 2	2.538	35.36	25
3 0 -2	2.526	35.54	20
2 0 2	2.258	39.93	22
2 2 2	1.956	46.42	26
2 2 -6	1.950	46.58	18

***

No. 2
Structure and calculated powder XRD pattern of Pa2VPd9 (a DFT-relaxed cell (PBE, Alexandria); CuKα).
Neutral-atom scattering factors, no anomalous dispersion.

Structure:
```
data_Pa2VPd9
_cell_length_a 4.114
_cell_length_b 4.114
_cell_length_c 12.071
_cell_angle_alpha 90.00
_cell_angle_beta 90.00
_cell_angle_gamma 90.00
_symmetry_space_group_name_H-M 'P 4/m m m'
_symmetry_Int_Tables_number 123
_symmetry_space_group_name_Hall '-P 4 2'
loop_
_atom_site_label
_atom_site_type_symbol
_atom_site_fract_x
_atom_site_fract_y
_atom_site_fract_z
_atom_site_occupancy
Pa1 Pa 0.000 0.000 0.178 1
V1 V 0.000 0.000 0.500 1
Pd1 Pd 0.000 0.500 0.000 1
Pd2 Pd 0.000 0.500 0.340 1
Pd3 Pd 0.500 0.500 0.169 1
Pd4 Pd 0.500 0.500 0.500 1
```

Peak list (10 most intense, 2θ from 10° to 90°, in order of rising 2θ)
(hkl)	d [Å]	2θ (°)	intensity
0 0 2	6.036	14.68	5
1 0 2	3.400	26.21	6
1 1 3	2.358	38.17	100
2 0 0	2.057	44.02	34
0 0 6	2.012	45.06	15
2 2 0	1.455	64.01	11
2 0 6	1.438	64.82	20
3 1 3	1.238	77.04	25
1 1 9	1.218	78.53	10
2 2 6	1.179	81.69	10

***

No. 3
Structure and calculated powder XRD pattern of Pm7Sm3Tl (a DFT-relaxed cell (PBE, Alexandria); CuKα).
Neutral-atom scattering factors, no anomalous dispersion.

Structure:
```
data_Pm7Sm3Tl
_cell_length_a 7.1151
_cell_length_b 7.1151
_cell_length_c 8.6894
_cell_angle_alpha 90.00
_cell_angle_beta 90.00
_cell_angle_gamma 120.00
_symmetry_space_group_name_H-M 'P 3 m 1'
_symmetry_Int_Tables_number 156
loop_
_symmetry_equiv_pos_as_xyz
'x,y,z'
'-y,x-y,z'
'-x+y,-x,z'
'-y,-x,z'
'-x+y,y,z'
'x,x-y,z'
loop_
_atom_site_label
_atom_site_type_symbol
_atom_site_fract_x
_atom_site_fract_y
_atom_site_fract_z
_atom_site_occupancy
Pm1 Pm 0.0000 0.0000 0.0000 1
Pm2 Pm 0.1642 0.3285 0.3364 1
Pm3 Pm 0.5019 0.0038 0.0107 1
Sm1 Sm 0.3323 0.1661 0.6702 1
Tl1 Tl 0.6667 0.3333 0.3422 1
```

Peak list (10 most intense, 2θ from 10° to 90°, in order of rising 2θ)
(hkl)	d [Å]	2θ (°)	intensity
0 2 1	2.902	30.81	100
2 0 2	2.513	35.73	51
2 2 0	1.779	51.37	18
0 2 4	1.775	51.47	18
4 0 1	1.516	61.13	32
2 0 5	1.514	61.23	11
0 4 2	1.452	64.14	9
2 4 1	1.154	83.82	9
4 2 2	1.125	86.53	8
2 2 6	1.123	86.70	8

***

No. 4
Structure and calculated powder XRD pattern of Ac3P2Se (a DFT-relaxed cell (PBE, Alexandria); CuKα).
Neutral-atom scattering factors, no anomalous dispersion.

Structure:
```
data_Ac3P2Se
_cell_length_a 4.444
_cell_length_b 6.300
_cell_length_c 13.387
_cell_angle_alpha 90.00
_cell_angle_beta 90.00
_cell_angle_gamma 90.00
_symmetry_space_group_name_H-M 'I m m m'
_symmetry_Int_Tables_number 71
_symmetry_space_group_name_Hall '-I 2 2'
loop_
_atom_site_label
_atom_site_type_symbol
_atom_site_fract_x
_atom_site_fract_y
_atom_site_fract_z
_atom_site_occupancy
Ac1 Ac 0.000 0.000 0.000 1
Ac2 Ac 0.000 0.000 0.324 1
P1 P 0.000 0.500 0.335 1
Se1 Se 0.000 0.500 0.000 1
```

Peak list (10 most intense, 2θ from 10° to 90°, in order of rising 2θ)
(hkl)	d [Å]	2θ (°)	intensity
1 1 0	3.636	24.48	78
0 2 0	3.149	28.34	100
1 2 3	2.228	40.49	64
2 0 0	2.222	40.60	13
1 3 0	1.900	47.87	27
2 1 3	1.897	47.97	14
0 2 6	1.821	50.10	13
2 2 0	1.816	50.25	14
1 4 3	1.408	66.37	24
2 4 0	1.284	73.79	14

***

No. 5
Structure and calculated powder XRD pattern of AcSm3YEr (a DFT-relaxed cell (PBE, Alexandria); CuKα).
Neutral-atom scattering factors, no anomalous dispersion.

Structure:
```
data_AcSm3YEr
_cell_length_a 20.632
_cell_length_b 5.826
_cell_length_c 7.121
_cell_angle_alpha 90.00
_cell_angle_beta 91.17
_cell_angle_gamma 90.00
_symmetry_space_group_name_H-M 'C 1 2/m 1'
_symmetry_Int_Tables_number 12
loop_
_symmetry_equiv_pos_as_xyz
'x,y,z'
'-x,-y,-z'
'-x,y,-z'
'x,-y,z'
'x+1/2,y+1/2,z'
'-x+1/2,-y+1/2,-z'
'-x+1/2,y+1/2,-z'
'x+1/2,-y+1/2,z'
loop_
_atom_site_label
_atom_site_type_symbol
_atom_site_fract_x
_atom_site_fract_y
_atom_site_fract_z
_atom_site_occupancy
Ac1 Ac 0.147 0.000 0.028 1
Sm1 Sm 0.018 0.000 0.734 1
Sm2 Sm 0.161 0.500 0.734 1
Sm3 Sm 0.219 0.500 0.269 1
Y1 Y 0.057 0.500 0.296 1
Er1 Er 0.144 0.000 0.481 1
```

Peak list (10 most intense, 2θ from 10° to 90°, in order of rising 2θ)
(hkl)	d [Å]	2θ (°)	intensity
1 1 0	5.607	15.81	40
6 0 0	3.438	25.92	33
5 1 -1	3.064	29.15	51
5 1 1	3.024	29.54	53
1 1 -2	3.013	29.65	26
4 0 -2	2.958	30.22	34
0 2 0	2.913	30.69	100
3 1 -2	2.797	32.00	86
3 1 2	2.761	32.43	99
7 1 0	2.630	34.10	64

***

No. 6
Structure and calculated powder XRD pattern of Nd4Tm3 (a DFT-relaxed cell (PBE, Alexandria); CuKα).
Neutral-atom scattering factors, no anomalous dispersion.

Structure:
```
data_Nd4Tm3
_cell_length_a 5.626
_cell_length_b 5.630
_cell_length_c 8.745
_cell_angle_alpha 104.80
_cell_angle_beta 95.61
_cell_angle_gamma 116.70
_symmetry_space_group_name_H-M 'P -1'
_symmetry_Int_Tables_number 2
loop_
_symmetry_equiv_pos_as_xyz
'x,y,z'
'-x,-y,-z'
loop_
_atom_site_label
_atom_site_type_symbol
_atom_site_fract_x
_atom_site_fract_y
_atom_site_fract_z
_atom_site_occupancy
Nd1 Nd 0.138 0.279 0.416 1
Nd2 Nd 0.286 0.575 0.862 1
Tm1 Tm 0.000 0.000 0.000 1
Tm2 Tm 0.433 0.856 0.290 1
```

Peak list (10 most intense, 2θ from 10° to 90°, in order of rising 2θ)
(hkl)	d [Å]	2θ (°)	intensity
-1 1 2	2.967	30.12	58
1 1 -1	2.953	30.26	58
1 0 2	2.812	31.82	100
2 -1 0	2.800	31.97	100
0 2 1	2.093	43.22	43
2 -2 3	1.890	48.14	16
0 1 4	1.684	54.48	21
0 3 -2	1.676	54.77	54
3 -3 1	1.591	57.95	27
4 -2 0	1.400	66.84	12

***

No. 7
Structure and calculated powder XRD pattern of NdEr3Tc (a DFT-relaxed cell (PBE, Alexandria); CuKα).
Neutral-atom scattering factors, no anomalous dispersion.

Structure:
```
data_NdEr3Tc
_cell_length_a 8.601
_cell_length_b 3.768
_cell_length_c 8.741
_cell_angle_alpha 90.00
_cell_angle_beta 101.99
_cell_angle_gamma 90.00
_symmetry_space_group_name_H-M 'P 1 21/m 1'
_symmetry_Int_Tables_number 11
loop_
_symmetry_equiv_pos_as_xyz
'x,y,z'
'-x,-y,-z'
'-x,y+1/2,-z'
'x,-y+1/2,z'
loop_
_atom_site_label
_atom_site_type_symbol
_atom_site_fract_x
_atom_site_fract_y
_atom_site_fract_z
_atom_site_occupancy
Nd1 Nd 0.170 0.250 0.013 1
Er1 Er 0.026 0.750 0.662 1
Er2 Er 0.344 0.750 0.390 1
Er3 Er 0.422 0.750 0.816 1
Tc1 Tc 0.263 0.250 0.598 1
```

Peak list (10 most intense, 2θ from 10° to 90°, in order of rising 2θ)
(hkl)	d [Å]	2θ (°)	intensity
1 0 -3	2.888	30.96	20
3 0 -1	2.847	31.43	41
1 1 -2	2.801	31.95	100
2 0 2	2.728	32.82	34
2 1 1	2.564	35.00	31
2 1 -2	2.512	35.74	22
3 1 0	2.249	40.09	23
0 2 0	1.884	48.30	21
2 1 -5	1.560	59.25	16
2 2 2	1.551	59.62	16

***

No. 8
Structure and calculated powder XRD pattern of TlPd2Au2 (a DFT-relaxed cell (PBE, Alexandria); CuKα).
Neutral-atom scattering factors, no anomalous dispersion.

Structure:
```
data_TlPd2Au2
_cell_length_a 9.401
_cell_length_b 7.390
_cell_length_c 5.462
_cell_angle_alpha 90.00
_cell_angle_beta 101.77
_cell_angle_gamma 90.00
_symmetry_space_group_name_H-M 'P 1 21/c 1'
_symmetry_Int_Tables_number 14
loop_
_symmetry_equiv_pos_as_xyz
'x,y,z'
'-x,-y,-z'
'-x,y+1/2,-z+1/2'
'x,-y+1/2,z+1/2'
loop_
_atom_site_label
_atom_site_type_symbol
_atom_site_fract_x
_atom_site_fract_y
_atom_site_fract_z
_atom_site_occupancy
Tl1 Tl 0.222 0.120 0.357 1
Pd1 Pd 0.047 0.053 0.768 1
Pd2 Pd 0.350 0.028 0.921 1
Au1 Au 0.177 0.746 0.070 1
Au2 Au 0.466 0.676 0.881 1
```

Peak list (10 most intense, 2θ from 10° to 90°, in order of rising 2θ)
(hkl)	d [Å]	2θ (°)	intensity
3 0 0	3.068	29.11	17
2 1 -2	2.410	37.31	100
1 3 0	2.380	37.81	37
3 2 0	2.360	38.13	42
3 1 1	2.329	38.67	26
1 1 2	2.315	38.91	35
3 2 -1	2.297	39.21	16
0 3 1	2.237	40.31	20
1 3 -1	2.218	40.68	21
4 1 -1	2.189	41.25	54

***

No. 9
Structure and calculated powder XRD pattern of Tm2In8Ag (a DFT-relaxed cell (PBE, Alexandria); CuKα).
Neutral-atom scattering factors, no anomalous dispersion.

Structure:
```
data_Tm2In8Ag
_cell_length_a 4.724
_cell_length_b 4.724
_cell_length_c 12.216
_cell_angle_alpha 90.00
_cell_angle_beta 90.00
_cell_angle_gamma 90.00
_symmetry_space_group_name_H-M 'P 4/m m m'
_symmetry_Int_Tables_number 123
_symmetry_space_group_name_Hall '-P 4 2'
loop_
_atom_site_label
_atom_site_type_symbol
_atom_site_fract_x
_atom_site_fract_y
_atom_site_fract_z
_atom_site_occupancy
Tm1 Tm 0.000 0.000 0.187 1
In1 In 0.000 0.500 0.000 1
In2 In 0.000 0.500 0.366 1
In3 In 0.500 0.500 0.187 1
Ag1 Ag 0.000 0.000 0.500 1
```

Peak list (10 most intense, 2θ from 10° to 90°, in order of rising 2θ)
(hkl)	d [Å]	2θ (°)	intensity
1 1 2	2.931	30.50	19
1 1 3	2.583	34.74	100
0 0 5	2.443	36.79	10
2 0 0	2.362	38.10	47
0 0 6	2.036	44.50	7
2 0 5	1.698	54.00	13
2 2 0	1.670	54.98	16
2 0 6	1.542	59.99	11
3 1 3	1.403	66.69	31
1 1 8	1.389	67.44	11

***

No. 10
Structure and calculated powder XRD pattern of Tl2Te3Au (a DFT-relaxed cell (PBE, Alexandria); CuKα).
Neutral-atom scattering factors, no anomalous dispersion.

Structure:
```
data_Tl2Te3Au
_cell_length_a 12.845
_cell_length_b 8.318
_cell_length_c 7.700
_cell_angle_alpha 90.00
_cell_angle_beta 90.00
_cell_angle_gamma 90.00
_symmetry_space_group_name_H-M 'C m c 21'
_symmetry_Int_Tables_number 36
loop_
_symmetry_equiv_pos_as_xyz
'x,y,z'
'-x,-y,z+1/2'
'-x,y,z'
'x,-y,z+1/2'
'x+1/2,y+1/2,z'
'-x+1/2,-y+1/2,z+1/2'
'-x+1/2,y+1/2,z'
'x+1/2,-y+1/2,z+1/2'
loop_
_atom_site_label
_atom_site_type_symbol
_atom_site_fract_x
_atom_site_fract_y
_atom_site_fract_z
_atom_site_occupancy
Tl1 Tl 0.159 0.096 0.000 1
Te1 Te 0.000 0.134 0.684 1
Te2 Te 0.140 0.427 0.216 1
Au1 Au 0.000 0.444 0.482 1
```

Peak list (10 most intense, 2θ from 10° to 90°, in order of rising 2θ)
(hkl)	d [Å]	2θ (°)	intensity
0 2 0	4.159	21.36	22
0 2 1	3.659	24.32	47
3 1 1	3.413	26.11	45
3 1 2	2.707	33.09	100
3 3 1	2.228	40.49	43
0 2 3	2.184	41.34	24
6 0 0	2.141	42.21	15
6 2 1	1.848	49.32	12
6 2 3	1.529	60.56	14
3 3 5	1.284	73.79	12

***

No. 11
Structure and calculated powder XRD pattern of DyEr4Pd4 (a DFT-relaxed cell (PBE, Alexandria); CuKα).
Neutral-atom scattering factors, no anomalous dispersion.

Structure:
```
data_DyEr4Pd4
_cell_length_a 8.926
_cell_length_b 8.926
_cell_length_c 5.729
_cell_angle_alpha 90.00
_cell_angle_beta 90.00
_cell_angle_gamma 90.00
_symmetry_space_group_name_H-M 'P 42/n'
_symmetry_Int_Tables_number 86
loop_
_symmetry_equiv_pos_as_xyz
'x,y,z'
'-x,-y,-z'
'-y,x+1/2,z+1/2'
'y,-x+1/2,-z+1/2'
'-x+1/2,-y+1/2,z'
'x+1/2,y+1/2,-z'
'y+1/2,-x,z+1/2'
'-y+1/2,x,-z+1/2'
loop_
_atom_site_label
_atom_site_type_symbol
_atom_site_fract_x
_atom_site_fract_y
_atom_site_fract_z
_atom_site_occupancy
Dy1 Dy 0.250 0.250 0.250 1
Er1 Er 0.073 0.658 0.161 1
Pd1 Pd 0.033 0.626 0.658 1
```

Peak list (10 most intense, 2θ from 10° to 90°, in order of rising 2θ)
(hkl)	d [Å]	2θ (°)	intensity
2 1 1	3.275	27.23	29
0 0 2	2.865	31.22	14
1 3 0	2.823	31.70	100
1 0 2	2.728	32.84	41
1 2 2	2.327	38.69	20
3 0 2	2.064	43.87	21
1 3 2	2.011	45.09	19
4 2 0	1.996	45.44	33
3 2 2	1.873	48.61	22
1 4 2	1.727	53.02	15

***

No. 12
Structure and calculated powder XRD pattern of K3PdF5 (a DFT-relaxed cell (PBE, Alexandria); CuKα).
Neutral-atom scattering factors, no anomalous dispersion.

Structure:
```
data_K3PdF5
_cell_length_a 7.241
_cell_length_b 7.241
_cell_length_c 6.357
_cell_angle_alpha 90.00
_cell_angle_beta 90.00
_cell_angle_gamma 90.00
_symmetry_space_group_name_H-M 'P 4/m b m'
_symmetry_Int_Tables_number 127
_symmetry_space_group_name_Hall '-P 4 2ab'
loop_
_atom_site_label
_atom_site_type_symbol
_atom_site_fract_x
_atom_site_fract_y
_atom_site_fract_z
_atom_site_occupancy
K1 K 0.000 0.000 0.000 1
K2 K 0.175 0.325 0.500 1
Pd1 Pd 0.000 0.500 0.000 1
F1 F 0.000 0.000 0.500 1
F2 F 0.138 0.638 0.219 1
```

Peak list (10 most intense, 2θ from 10° to 90°, in order of rising 2θ)
(hkl)	d [Å]	2θ (°)	intensity
1 1 0	5.120	17.32	52
1 1 1	3.988	22.29	35
2 0 0	3.621	24.59	28
0 0 2	3.178	28.07	26
2 0 1	3.146	28.37	100
2 2 0	2.560	35.05	36
2 0 2	2.389	37.66	27
2 1 2	2.268	39.74	32
3 1 1	2.154	41.94	30
2 2 2	1.994	45.49	32